(1)
Computed X-ray powder pattern of Pm2Y3Tm9 for λ = 1.5418 Å (Cu Kα), from a GGA-PBE-relaxed structure.
No peak broadening, texture or thermal motion is included.

Cell and atoms:
Cell lengths 6.173, 8.667, 8.677 Å; angles 79.45, 77.73, 87.41 degrees
Space group P-1 (No. 2)
Asymmetric unit:
1 Pm 0.044 0.030 0.297
2 Y 0.248 0.621 0.728
3 Y 0.500 0.000 0.000
4 Tm 0.007 0.748 0.086
5 Tm 0.156 0.335 0.506
6 Tm 0.309 0.385 0.103
7 Tm 0.409 0.685 0.304
8 Tm 0.500 0.000 0.500

Most intense lines, 5° ≤ 2θ ≤ 70°, low angle first:
- hkl 0 3 1, 2θ 31.42, d = 2.848 Å, intensity 40
- hkl 0 3 0, 2θ 31.51, d = 2.839 Å, intensity 93
- hkl 1 1 -2, 2θ 31.63, d = 2.829 Å, intensity 100
- hkl 2 -1 1, 2θ 31.90, d = 2.806 Å, intensity 49
- hkl 1 1 3, 2θ 32.34, d = 2.768 Å, intensity 83
- hkl -1 2 2, 2θ 33.17, d = 2.701 Å, intensity 65
- hkl 1 -2 2, 2θ 34.02, d = 2.635 Å, intensity 40
- hkl 2 2 1, 2θ 34.96, d = 2.566 Å, intensity 65
- hkl 2 -4 0, 2θ 52.77, d = 1.735 Å, intensity 28
- hkl 0 0 5, 2θ 55.04, d = 1.669 Å, intensity 19

(2)
Computed X-ray powder pattern of Tl15Cd2Sn2 for λ = 1.5418 Å (Cu Kα), from a GGA-PBE-relaxed structure.
No peak broadening, texture or thermal motion is included.

Cell and atoms:
Cell lengths 8.138, 8.666, 8.703 Å; angles 100.93, 99.05, 100.92 degrees
Space group P-1 (No. 2)
Asymmetric unit:
1 Tl 0.000 0.000 0.000
2 Tl 0.000 0.500 0.500
3 Tl 0.042 0.118 0.387
4 Tl 0.049 0.315 0.830
5 Tl 0.227 0.722 0.882
6 Tl 0.327 0.834 0.444
7 Tl 0.375 0.413 0.606
8 Tl 0.383 0.099 0.832
9 Tl 0.500 0.500 0.000
10 Cd 0.207 0.449 0.209
11 Sn 0.396 0.178 0.235

Most intense lines, 5° ≤ 2θ ≤ 70°, low angle first:
- hkl -2 1 2, 2θ 29.84, d = 2.994 Å, intensity 31
- hkl 1 1 2, 2θ 31.00, d = 2.884 Å, intensity 60
- hkl 1 2 1, 2θ 31.23, d = 2.864 Å, intensity 28
- hkl 1 -3 0, 2θ 31.81, d = 2.813 Å, intensity 42
- hkl 1 -3 1, 2θ 31.92, d = 2.804 Å, intensity 65
- hkl 1 1 -3, 2θ 32.07, d = 2.791 Å, intensity 73
- hkl 2 2 -1, 2θ 33.58, d = 2.669 Å, intensity 100
- hkl -3 1 1, 2θ 33.88, d = 2.646 Å, intensity 35
- hkl 2 -2 2, 2θ 34.88, d = 2.573 Å, intensity 47
- hkl -2 2 2, 2θ 35.23, d = 2.548 Å, intensity 51

(3)
Computed X-ray powder pattern of MoRu2Rh4 for λ = 1.5418 Å (Cu Kα), from a GGA-PBE-relaxed structure.
No peak broadening, texture or thermal motion is included.

Cell and atoms:
Cell lengths 4.446, 4.442, 5.571 Å; angles 90.00, 90.12, 90.00 degrees
Space group P2/m (No. 10)
Asymmetric unit:
1 Mo 0.000 0.000 0.000
2 Ru 0.500 0.500 0.000
3 Ru 0.500 0.500 0.500
4 Rh 0.000 0.500 0.265
5 Rh 0.499 0.000 0.736

Most intense lines, 5° ≤ 2θ ≤ 70°, low angle first:
- hkl 1 0 0, 2θ 19.98, d = 4.444 Å, intensity 9
- hkl 1 0 1, 2θ 25.64, d = 3.474 Å, intensity 8
- hkl 1 1 0, 2θ 28.40, d = 3.142 Å, intensity 4
- hkl 1 1 1, 2θ 32.72, d = 2.737 Å, intensity 8
- hkl 0 1 2, 2θ 38.13, d = 2.360 Å, intensity 3
- hkl 2 0 0, 2θ 40.60, d = 2.222 Å, intensity 62
- hkl 1 1 2, 2θ 43.41, d = 2.084 Å, intensity 100
- hkl 2 1 -1, 2θ 48.64, d = 1.872 Å, intensity 3
- hkl 2 2 0, 2θ 58.77, d = 1.571 Å, intensity 20
- hkl 0 0 4, 2θ 67.23, d = 1.393 Å, intensity 6

(4)
Computed X-ray powder pattern of Ba2PrI6 for λ = 1.5418 Å (Cu Kα), from a GGA-PBE-relaxed structure.
No peak broadening, texture or thermal motion is included.

Cell and atoms:
Cell lengths 7.624, 9.463, 13.291 Å; angles 90.00, 123.02, 90.00 degrees
Space group P2_1/c (No. 14)
Asymmetric unit:
1 Ba 0.192 0.113 0.252
2 Pr 0.000 0.000 0.500
3 I 0.094 0.184 0.946
4 I 0.287 0.679 0.936
5 I 0.393 0.041 0.765

Most intense lines, 5° ≤ 2θ ≤ 70°, low angle first:
- hkl 1 2 -2, 2θ 23.67, d = 3.759 Å, intensity 35
- hkl 0 2 2, 2θ 24.68, d = 3.607 Å, intensity 31
- hkl 2 1 -2, 2θ 25.20, d = 3.534 Å, intensity 35
- hkl 1 0 2, 2θ 26.33, d = 3.385 Å, intensity 47
- hkl 2 1 -3, 2θ 26.70, d = 3.338 Å, intensity 71
- hkl 1 2 1, 2θ 27.11, d = 3.289 Å, intensity 42
- hkl 1 1 2, 2θ 27.99, d = 3.188 Å, intensity 31
- hkl 1 1 -4, 2θ 28.69, d = 3.112 Å, intensity 40
- hkl 1 3 -1, 2θ 30.65, d = 2.917 Å, intensity 100
- hkl 0 0 4, 2θ 32.13, d = 2.786 Å, intensity 30

(5)
Computed X-ray powder pattern of Pu4AlSi for λ = 1.5418 Å (Cu Kα), from a GGA-PBE-relaxed structure.
No peak broadening, texture or thermal motion is included.

Cell and atoms:
Cell lengths 3.047, 5.027, 8.674 Å; angles 90.00, 90.00, 90.00 degrees
Space group Pmmm (No. 47)
Asymmetric unit:
1 Pu 0.000 0.000 0.163
2 Pu 0.000 0.500 0.329
3 Al 0.500 0.000 0.500
4 Si 0.500 0.500 0.000

Most intense lines, 5° ≤ 2θ ≤ 70°, low angle first:
- hkl 0 0 2, 2θ 20.44, d = 4.345 Å, intensity 90
- hkl 1 0 0, 2θ 29.31, d = 3.047 Å, intensity 58
- hkl 0 2 0, 2θ 35.72, d = 2.513 Å, intensity 45
- hkl 0 1 3, 2θ 35.83, d = 2.506 Å, intensity 88
- hkl 1 0 2, 2θ 36.00, d = 2.495 Å, intensity 73
- hkl 0 2 2, 2θ 41.53, d = 2.175 Å, intensity 11
- hkl 1 2 0, 2θ 46.92, d = 1.937 Å, intensity 100
- hkl 1 2 2, 2θ 51.64, d = 1.770 Å, intensity 18
- hkl 0 3 3, 2θ 64.25, d = 1.450 Å, intensity 17
- hkl 0 0 6, 2θ 64.49, d = 1.445 Å, intensity 27

(6)
Computed X-ray powder pattern of Pu4Th3Sc16 for λ = 1.5418 Å (Cu Kα), from a GGA-PBE-relaxed structure.
No peak broadening, texture or thermal motion is included.

Cell and atoms:
Cell lengths 6.278, 10.446, 9.133 Å; angles 90.00, 95.34, 90.00 degrees
Space group P2/m (No. 10)
Asymmetric unit:
1 Pu 0.011 0.000 0.337
2 Pu 0.419 0.500 0.654
3 Th 0.000 0.000 0.000
4 Th 0.500 0.000 0.500
5 Th 0.500 0.500 0.000
6 Sc 0.079 0.500 0.325
7 Sc 0.172 0.272 0.870
8 Sc 0.241 0.258 0.542
9 Sc 0.334 0.241 0.212
10 Sc 0.424 0.000 0.843

Most intense lines, 5° ≤ 2θ ≤ 70°, low angle first:
- hkl 1 1 0, 2θ 16.53, d = 5.363 Å, intensity 100
- hkl 0 2 0, 2θ 16.98, d = 5.223 Å, intensity 86
- hkl 1 3 0, 2θ 29.36, d = 3.042 Å, intensity 31
- hkl 1 1 -3, 2θ 32.76, d = 2.734 Å, intensity 62
- hkl 2 2 0, 2θ 33.41, d = 2.682 Å, intensity 76
- hkl 0 2 3, 2θ 34.20, d = 2.622 Å, intensity 49
- hkl 0 4 0, 2θ 34.34, d = 2.611 Å, intensity 62
- hkl 1 1 3, 2θ 35.15, d = 2.553 Å, intensity 43
- hkl 1 3 -3, 2θ 41.08, d = 2.197 Å, intensity 30
- hkl 1 3 3, 2θ 43.07, d = 2.100 Å, intensity 26

(7)
Computed X-ray powder pattern of Cs2SrGeO4 for λ = 1.5418 Å (Cu Kα), from a GGA-PBE-relaxed structure.
No peak broadening, texture or thermal motion is included.

Cell and atoms:
Cell lengths 5.935, 12.592, 25.077 Å; angles 90.00, 90.00, 90.00 degrees
Space group Fddd (No. 70, origin choice 2)
Asymmetric unit:
1 Cs 0.125 0.125 0.312
2 Sr 0.125 0.125 0.125
3 Ge 0.125 0.125 0.625
4 O 0.058 0.288 0.838

Most intense lines, 5° ≤ 2θ ≤ 70°, low angle first:
- hkl 0 0 4, 2θ 14.13, d = 6.269 Å, intensity 65
- hkl 1 1 3, 2θ 19.65, d = 4.517 Å, intensity 75
- hkl 1 1 5, 2θ 24.29, d = 3.665 Å, intensity 39
- hkl 0 2 6, 2θ 25.58, d = 3.482 Å, intensity 100
- hkl 1 3 3, 2θ 28.14, d = 3.171 Å, intensity 44
- hkl 0 4 0, 2θ 28.35, d = 3.148 Å, intensity 44
- hkl 1 3 5, 2θ 31.62, d = 2.829 Å, intensity 43
- hkl 2 2 0, 2θ 33.38, d = 2.684 Å, intensity 63
- hkl 2 0 6, 2θ 37.16, d = 2.420 Å, intensity 35
- hkl 2 0 10, 2θ 47.42, d = 1.917 Å, intensity 55

(8)
Computed X-ray powder pattern of LiCa2Cu6Ir for λ = 1.5418 Å (Cu Kα), from a GGA-PBE-relaxed structure.
No peak broadening, texture or thermal motion is included.

Cell and atoms:
Cell lengths 4.891, 6.537, 6.581 Å; angles 84.52, 68.25, 68.08 degrees
Space group P-1 (No. 2)
Asymmetric unit:
1 Li 0.000 0.000 0.000
2 Ca 0.226 0.307 0.241
3 Cu 0.237 0.760 0.262
4 Cu 0.249 0.922 0.581
5 Cu 0.260 0.240 0.739
6 Ir 0.500 0.500 0.500

Most intense lines, 5° ≤ 2θ ≤ 70°, low angle first:
- hkl 0 0 1, 2θ 14.51, d = 6.105 Å, intensity 100
- hkl 1 0 1, 2θ 20.77, d = 4.278 Å, intensity 26
- hkl 1 0 0, 2θ 21.02, d = 4.226 Å, intensity 23
- hkl 0 1 1, 2θ 21.17, d = 4.197 Å, intensity 25
- hkl 1 1 -1, 2θ 29.21, d = 3.057 Å, intensity 42
- hkl 1 1 -2, 2θ 41.68, d = 2.167 Å, intensity 24
- hkl 1 3 0, 2θ 41.94, d = 2.154 Å, intensity 21
- hkl 2 0 2, 2θ 42.26, d = 2.139 Å, intensity 31
- hkl 0 2 2, 2θ 43.11, d = 2.099 Å, intensity 29
- hkl 2 3 1, 2θ 47.81, d = 1.903 Å, intensity 23